# YMg2V3S8
Theoretical powder XRD pattern, copper Kα. Input: a DFT-relaxed cell (GGA-PBE, the Materials Project).
Peak positions follow from Bragg's law for the DFT cell and can differ from measured ones.

Most intense lines, 5 to 70 degrees two-theta, low angle first:
2θ (°)	I/Imax
14.67	88.1
28.19	69.0
34.10	100.0
34.20	49.6
48.74	44.5
49.40	75.0

Structure:
```
YMg2V3S8
1.0
7.3729 0.0000 0.0000
3.6792 6.3961 0.0000
3.6623 2.1432 6.1510
Y Mg V S
1 2 3 8
direct
0.0000 0.0000 0.0000 Y
0.3736 0.3739 0.8786 Mg
0.6264 0.6261 0.1214 Mg
0.0000 0.0000 0.5000 V
0.0000 0.5000 0.5000 V
0.5000 0.0000 0.5000 V
0.2228 0.7446 0.2871 S
0.2378 0.2373 0.2848 S
0.2537 0.2544 0.7148 S
0.2553 0.7770 0.7127 S
0.7447 0.2230 0.2873 S
0.7463 0.7456 0.2852 S
0.7622 0.7627 0.7152 S
0.7772 0.2554 0.7129 S
```


# MgW2S4
Theoretical powder XRD pattern, copper Kα. Input: a DFT-relaxed cell (GGA-PBE, the Materials Project).
Peak positions follow from Bragg's law for the DFT cell and can differ from measured ones.

Most intense lines, 5 to 70 degrees two-theta, low angle first:
2θ (°)	I/Imax
15.00	100.0
28.94	80.5
30.26	32.6
35.08	68.8
46.10	35.3
50.46	58.4

Structure:
```
MgW2S4
1.0
0.0000 5.1155 5.1155
5.1155 0.0000 5.1155
5.1155 5.1155 0.0000
Mg W S
2 4 8
direct
0.1250 0.1250 0.1250 Mg
0.8750 0.8750 0.8750 Mg
0.0000 0.5000 0.5000 W
0.5000 0.0000 0.5000 W
0.5000 0.5000 0.0000 W
0.5000 0.5000 0.5000 W
0.2588 0.2588 0.2588 S
0.2588 0.2588 0.7236 S
0.2588 0.7236 0.2588 S
0.2764 0.7412 0.7412 S
0.7236 0.2588 0.2588 S
0.7412 0.2764 0.7412 S
0.7412 0.7412 0.2764 S
0.7412 0.7412 0.7412 S
```


# YMg2W3S8
Theoretical powder XRD pattern, copper Kα. Input: a DFT-relaxed cell (GGA-PBE, the Materials Project).
Peak positions follow from Bragg's law for the DFT cell and can differ from measured ones.

Most intense lines, 5 to 70 degrees two-theta, low angle first:
2θ (°)	I/Imax
14.49	68.1
14.59	82.2
27.96	97.2
33.92	100.0
48.61	45.3
48.86	40.8

Structure:
```
YMg2W3S8
1.0
6.4454 -3.7505 0.0000
6.4454 3.7505 0.0000
-4.2736 0.0000 6.1064
Y Mg W S
1 2 3 8
direct
0.0000 0.0000 0.0000 Y
0.3749 0.3749 0.6252 Mg
0.6251 0.6251 0.3748 Mg
0.0000 0.0000 0.5000 W
0.0000 0.5000 0.0000 W
0.5000 0.0000 0.0000 W
0.2250 0.7447 0.2553 S
0.2382 0.2382 0.7620 S
0.2553 0.2553 0.2248 S
0.2553 0.7750 0.7447 S
0.7447 0.2250 0.2553 S
0.7447 0.7447 0.7752 S
0.7618 0.7618 0.2380 S
0.7750 0.2553 0.7447 S
```